1.
Diffraction record for Tb2Sm2O5. The powder diffraction line list is simulated, not measured: it uses a DFT-relaxed cell (GGA-PBE, OQMD) and a wavelength of 1.5418 Å.
Peak positions follow from Bragg's law for the DFT cell and can differ from measured ones.

Atomic structure:
Lattice parameters (Å, degrees): 3.893 3.893 9.978 90.00 90.00 90.00
Space group P4/mmm (No. 123)
Unique sites:
1 Tb 0.000 0.000 0.000
2 Tb 0.000 0.000 0.500
3 Sm 0.500 0.500 0.241
4 O 0.000 0.500 0.138
5 O 0.500 0.500 0.500

Principal peaks in the range 10° ≤ 2θ ≤ 90°, low angle first:
(hkl)	2θ (°)	I_rel
1 0 2	29.09	1000
1 1 0	32.52	335
0 0 4	36.01	126
2 0 0	46.66	184
1 1 4	49.30	303
2 1 2	55.93	325
2 0 4	60.31	118
1 0 6	60.54	122
2 1 6	79.74	112
3 1 4	88.58	112

2.
Diffraction record for SmTc2O4. The powder diffraction line list is simulated, not measured: it uses a DFT-relaxed cell (GGA-PBE, OQMD) and a wavelength of 1.5418 Å.
Peak positions follow from Bragg's law for the DFT cell and can differ from measured ones.

Atomic structure:
Lattice parameters (Å, degrees): 9.040 9.040 9.040 90.00 90.00 90.00
Space group Fd-3m (No. 227, origin choice 2)
Unique sites:
1 Sm 0.125 0.125 0.125
2 Tc 0.000 0.000 0.500
3 O 0.016 0.016 0.734

Principal peaks in the range 10° ≤ 2θ ≤ 90°, low angle first:
(hkl)	2θ (°)	I_rel
2 2 0	27.91	429
3 1 1	32.86	1000
2 2 2	34.36	137
4 2 2	49.39	168
5 1 1	52.61	390
4 4 0	57.68	376
5 3 3	68.00	122
6 2 2	68.90	70
6 4 2	79.31	91
5 5 3	81.84	206

3.
Diffraction record for SmTcO3. The powder diffraction line list is simulated, not measured: it uses a DFT-relaxed cell (GGA-PBE, OQMD) and a wavelength of 1.5418 Å.
Peak positions follow from Bragg's law for the DFT cell and can differ from measured ones.

Atomic structure:
Lattice parameters (Å, degrees): 5.7584 5.7584 12.4028 90.00 90.00 120.00
Space group R-3c (No. 167, hexagonal axes)
Unique sites:
1 Sm 0.0000 0.0000 0.2500
2 Tc 0.0000 0.0000 0.0000
3 O 0.0000 0.3987 0.2500

Principal peaks in the range 10° ≤ 2θ ≤ 90°, low angle first:
(hkl)	2θ (°)	I_rel
1 1 0	31.06	1000
1 0 4	34.05	870
0 2 4	46.75	464
3 0 0	55.26	279
2 1 4	57.19	414
0 1 8	62.76	149
2 2 0	64.76	141
2 0 8	71.68	123
1 3 4	75.22	163
1 2 8	80.16	154

4.
Diffraction record for SmTe2O4. The powder diffraction line list is simulated, not measured: it uses a DFT-relaxed cell (GGA-PBE, OQMD) and a wavelength of 1.5418 Å.
Peak positions follow from Bragg's law for the DFT cell and can differ from measured ones.

Atomic structure:
Lattice parameters (Å, degrees): 6.907 6.907 8.979 90.00 90.00 90.00
Space group I4_1/amd (No. 141, origin choice 2)
Unique sites:
1 Sm 0.000 0.250 0.375
2 Te 0.000 0.000 0.000
3 O 0.000 0.076 0.650

Principal peaks in the range 10° ≤ 2θ ≤ 90°, low angle first:
(hkl)	2θ (°)	I_rel
2 0 0	25.80	250
1 1 2	26.98	230
2 1 1	30.61	1000
1 0 3	32.61	667
2 0 2	32.72	532
3 2 1	48.60	388
3 0 3	49.98	214
4 0 0	53.03	218
2 2 4	55.61	302
4 2 2	63.69	310

5.
Diffraction record for SmTmO4. The powder diffraction line list is simulated, not measured: it uses a DFT-relaxed cell (GGA-PBE, OQMD) and a wavelength of 1.5418 Å.
Peak positions follow from Bragg's law for the DFT cell and can differ from measured ones.

Atomic structure:
Lattice parameters (Å, degrees): 6.784 3.732 6.174 90.00 96.59 90.00
Space group Cm (No. 8)
Unique sites:
1 Sm 0.000 0.000 0.000
2 Tm 0.369 0.000 0.459
3 O 0.039 0.000 0.384
4 O 0.096 0.500 0.776
5 O 0.277 0.500 0.661
6 O 0.333 0.000 0.095

Principal peaks in the range 10° ≤ 2θ ≤ 90°, low angle first:
(hkl)	2θ (°)	I_rel
2 0 0	26.45	312
1 1 0	27.32	187
2 0 -1	28.73	164
0 0 2	29.12	463
1 1 -1	30.29	1000
2 0 1	31.75	675
1 1 2	41.51	187
3 1 0	47.23	309
0 2 0	48.81	189
1 1 -3	51.40	272

6.
Diffraction record for Sm2Zr2O5. The powder diffraction line list is simulated, not measured: it uses a DFT-relaxed cell (GGA-PBE, OQMD) and a wavelength of 1.5418 Å.
Peak positions follow from Bragg's law for the DFT cell and can differ from measured ones.

Atomic structure:
Lattice parameters (Å, degrees): 4.146 4.146 7.426 90.00 90.00 90.00
Space group P4/mmm (No. 123)
Unique sites:
1 Sm 0.000 0.000 0.000
2 Sm 0.000 0.000 0.500
3 Zr 0.500 0.500 0.217
4 O 0.000 0.500 0.258
5 O 0.500 0.500 0.500

Principal peaks in the range 10° ≤ 2θ ≤ 90°, low angle first:
(hkl)	2θ (°)	I_rel
1 1 0	30.49	537
1 0 2	32.37	1000
1 1 2	39.15	127
2 0 0	43.67	335
0 0 4	49.08	109
2 1 2	55.39	435
1 1 4	58.88	130
2 0 4	67.76	138
3 1 0	72.02	121
3 2 2	89.15	117

7.
Diffraction record for Sm2Zr2O7. The powder diffraction line list is simulated, not measured: it uses a DFT-relaxed cell (GGA-PBE, OQMD) and a wavelength of 1.5418 Å.
Peak positions follow from Bragg's law for the DFT cell and can differ from measured ones.

Atomic structure:
Lattice parameters (Å, degrees): 10.618 10.618 10.618 90.00 90.00 90.00
Space group Fd-3m (No. 227, origin choice 2)
Unique sites:
1 Sm 0.000 0.000 0.000
2 Zr 0.000 0.000 0.500
3 O 0.089 0.375 0.875
4 O 0.125 0.125 0.125

Principal peaks in the range 10° ≤ 2θ ≤ 90°, low angle first:
(hkl)	2θ (°)	I_rel
1 1 1	14.45	54
2 2 2	29.13	1000
4 0 0	33.77	311
3 3 1	36.90	58
4 4 0	48.50	493
6 2 2	57.58	432
4 4 4	60.40	95
8 0 0	71.02	71
6 6 2	78.54	172
8 4 0	80.99	133

8.
Diffraction record for Ta2Sn2O7. The powder diffraction line list is simulated, not measured: it uses a DFT-relaxed cell (GGA-PBE, OQMD) and a wavelength of 1.5418 Å.
Peak positions follow from Bragg's law for the DFT cell and can differ from measured ones.

Atomic structure:
Lattice parameters (Å, degrees): 10.604 10.604 10.604 90.00 90.00 90.00
Space group Fd-3m (No. 227, origin choice 2)
Unique sites:
1 Ta 0.000 0.000 0.000
2 Sn 0.000 0.000 0.500
3 O 0.064 0.375 0.375
4 O 0.125 0.125 0.625

Principal peaks in the range 10° ≤ 2θ ≤ 90°, low angle first:
(hkl)	2θ (°)	I_rel
1 1 1	14.47	79
3 1 1	27.91	50
2 2 2	29.17	1000
4 0 0	33.81	376
4 4 0	48.57	436
6 2 2	57.66	455
4 4 4	60.49	125
8 0 0	71.13	69
6 6 2	78.66	190
8 4 0	81.12	169

9.
Diffraction record for Tc2SnO4. The powder diffraction line list is simulated, not measured: it uses a DFT-relaxed cell (GGA-PBE, OQMD) and a wavelength of 1.5418 Å.
Peak positions follow from Bragg's law for the DFT cell and can differ from measured ones.

Atomic structure:
Lattice parameters (Å, degrees): 9.068 9.068 9.068 90.00 90.00 90.00
Space group Fd-3m (No. 227, origin choice 2)
Unique sites:
1 Tc 0.000 0.000 0.000
2 Sn 0.125 0.125 0.625
3 O 0.019 0.019 0.231

Principal peaks in the range 10° ≤ 2θ ≤ 90°, low angle first:
(hkl)	2θ (°)	I_rel
2 2 0	27.83	358
3 1 1	32.75	1000
2 2 2	34.25	173
4 2 2	49.22	138
5 1 1	52.43	411
4 4 0	57.49	400
5 3 3	67.76	129
6 2 2	68.65	92
6 4 2	79.01	86
5 5 3	81.54	215

10.
Diffraction record for ZnSnTeO. The powder diffraction line list is simulated, not measured: it uses a DFT-relaxed cell (GGA-PBE, OQMD) and a wavelength of 1.5418 Å.
Peak positions follow from Bragg's law for the DFT cell and can differ from measured ones.

Atomic structure:
Lattice parameters (Å, degrees): 3.3801 3.3801 15.2153 90.00 90.00 120.00
Space group P6_3mc (No. 186)
Unique sites:
1 Zn 0.3333 0.6667 0.0000
2 Sn 0.0000 0.0000 0.1845
3 Te 0.3333 0.6667 0.3619
4 O 0.0000 0.0000 0.0448

Principal peaks in the range 10° ≤ 2θ ≤ 90°, low angle first:
(hkl)	2θ (°)	I_rel
1 0 1	31.11	227
1 0 2	32.78	1000
0 0 6	35.40	995
1 0 4	38.82	306
1 0 5	42.87	279
1 1 0	54.28	381
1 0 8	57.81	291
2 0 2	64.87	143
1 1 6	66.48	434
2 1 2	89.52	128

11.
Diffraction record for ZnSnTeO. The powder diffraction line list is simulated, not measured: it uses a DFT-relaxed cell (GGA-PBE, OQMD) and a wavelength of 1.5418 Å.
Peak positions follow from Bragg's law for the DFT cell and can differ from measured ones.

Atomic structure:
Lattice parameters (Å, degrees): 4.086 13.941 6.282 90.00 90.00 90.00
Space group Cmc2_1 (No. 36)
Unique sites:
1 Zn 0.000 0.047 0.000
2 Sn 0.000 0.343 0.145
3 Te 0.000 0.348 0.649
4 O 0.000 0.069 0.683

Principal peaks in the range 10° ≤ 2θ ≤ 90°, low angle first:
(hkl)	2θ (°)	I_rel
0 4 0	25.56	199
0 0 2	28.41	394
1 3 0	29.10	1000
1 1 2	36.66	314
0 4 2	38.58	208
1 3 2	41.12	516
2 0 0	44.34	209
0 6 2	48.74	137
1 7 0	51.01	169
1 7 2	59.42	165

12.
Diffraction record for ZnSnTeO. The powder diffraction line list is simulated, not measured: it uses a DFT-relaxed cell (GGA-PBE, OQMD) and a wavelength of 1.5418 Å.
Peak positions follow from Bragg's law for the DFT cell and can differ from measured ones.

Atomic structure:
Lattice parameters (Å, degrees): 4.0598 4.0598 12.3964 90.00 90.00 120.00
Space group P6_3mc (No. 186)
Unique sites:
1 Zn 0.0000 0.0000 0.0000
2 Sn 0.3333 0.6667 0.2906
3 Te 0.3333 0.6667 0.5953
4 O 0.0000 0.0000 0.3430

Principal peaks in the range 10° ≤ 2θ ≤ 90°, low angle first:
(hkl)	2θ (°)	I_rel
1 0 1	26.35	662
0 0 4	28.81	242
1 0 2	29.20	376
1 0 3	33.46	1000
1 0 4	38.73	196
1 1 0	44.64	594
1 0 6	51.29	205
1 1 4	54.00	250
2 0 3	56.92	221
2 1 3	75.09	199

13.
Diffraction record for Tm2Sn2O5. The powder diffraction line list is simulated, not measured: it uses a DFT-relaxed cell (GGA-PBE, OQMD) and a wavelength of 1.5418 Å.
Peak positions follow from Bragg's law for the DFT cell and can differ from measured ones.

Atomic structure:
Lattice parameters (Å, degrees): 4.137 4.137 8.293 90.00 90.00 90.00
Space group P4/mmm (No. 123)
Unique sites:
1 Tm 0.000 0.000 0.246
2 Sn 0.500 0.500 0.000
3 Sn 0.500 0.500 0.500
4 O 0.000 0.000 0.500
5 O 0.000 0.500 0.175

Principal peaks in the range 10° ≤ 2θ ≤ 90°, low angle first:
(hkl)	2θ (°)	I_rel
0 0 2	21.46	52
1 0 2	30.53	1000
2 0 0	43.73	249
1 1 4	54.27	451
2 2 0	63.56	150
1 0 6	72.04	62
3 0 2	72.19	120
2 2 4	80.33	49
3 1 4	88.29	166
3 2 2	88.38	79